(1)
# Y2Cu3Si
Theoretical X-ray powder pattern, Cu Kα, 1.54184 Å. Input: DFT lattice parameters and positions (PBE).
Neutral-atom scattering factors, no anomalous dispersion.

Structure:
abc: 4.160 3.652 7.382
angles: 90.00 90.07 90.00
Space group Pm (No. 6)
Inequivalent atoms, fractional coordinates:
Y1 0.000 0.000 0.000 (multiplicity 1)
Y2 0.500 0.000 0.497 (multiplicity 1)
Cu1 0.000 0.500 0.340 (multiplicity 1)
Cu2 0.500 0.500 0.160 (multiplicity 1)
Cu3 0.500 0.500 0.824 (multiplicity 1)
Si1 0.000 0.500 0.667 (multiplicity 1)

Top 6 peaks for 10° ≤ 2θ ≤ 90°, by angle:
2θ (°)	I_rel
34.6	50
34.9	100
42.7	53
43.5	25
56.7	23
67.8	25



(2)
# Y3Cu4Si4
Theoretical X-ray powder pattern, Cu Kα, 1.54184 Å. Input: DFT lattice parameters and positions (PBE).
Neutral-atom scattering factors, no anomalous dispersion.

Structure:
abc: 4.146 6.549 13.705
angles: 90.00 90.00 90.00
Space group Immm (No. 71)
Inequivalent atoms, fractional coordinates:
Y1 0.000 0.000 0.000 (multiplicity 2)
Y2 0.000 0.500 0.129 (multiplicity 4)
Cu1 0.000 0.310 0.331 (multiplicity 8)
Si1 0.000 0.000 0.216 (multiplicity 4)
Si2 0.000 0.184 0.500 (multiplicity 4)

Top 6 peaks for 10° ≤ 2θ ≤ 90°, by angle:
2θ (°)	I_rel
35.5	100
36.7	75
39.4	27
43.7	35
46.1	34
65.3	32



(3)
# YCuSi
Theoretical X-ray powder pattern, Cu Kα, 1.54184 Å. Input: DFT lattice parameters and positions (PBE).
Neutral-atom scattering factors, no anomalous dispersion.

Structure:
abc: 4.1474 4.1474 7.5159
angles: 90.00 90.00 120.00
Space group P6_3/mmc (No. 194)
Inequivalent atoms, fractional coordinates:
Y1 0.0000 0.0000 0.0000 (multiplicity 2)
Cu1 0.3333 0.6667 0.2500 (multiplicity 2)
Si1 0.3333 0.6667 0.7500 (multiplicity 2)

Top 6 peaks for 10° ≤ 2θ ≤ 90°, by angle:
2θ (°)	I_rel
27.5	11
34.5	100
43.6	46
56.8	23
67.2	24
74.3	20